Simulated powder XRD pattern of TiPbO3 for CuKα, from a PBE-relaxed structure.
Intensities are scaled so that the largest is 100.

Principal peaks in the range 2θ from 10° to 90°, by intensity:
| d [Å] | Position (°2θ) | I/Imax |
| --- | --- | --- |
| 2.828 | 31.64 | 100 |
| 2.989 | 29.90 | 47 |
| 2.111 | 42.84 | 45 |
| 4.010 | 22.17 | 41 |
| 1.693 | 54.19 | 30 |
| 3.643 | 24.43 | 27 |

Cell and atoms:
```
TiPbO3
1.0
-6.3396 6.3396 1.9017
6.3396 -6.3396 1.9017
6.3396 6.3396 -1.9017
Ti Pb O
4 4 12
Direct
0.0328 0.6433 0.6761
0.3567 0.0328 0.3895
0.6433 0.9672 0.6105
0.9672 0.3567 0.3239
0.3311 0.6484 0.9796
0.3516 0.3311 0.6827
0.6484 0.6689 0.3173
0.6689 0.3516 0.0204
0.0465 0.2404 0.2869
0.1038 0.4713 0.5751
0.1642 0.7108 0.8750
0.2404 0.9535 0.1939
0.2892 0.1642 0.4534
0.4713 0.8962 0.3675
0.5287 0.1038 0.6325
0.7108 0.8358 0.5466
0.7596 0.0465 0.8061
0.8358 0.2892 0.1250
0.8962 0.5287 0.4249
0.9535 0.7596 0.7131
```